This entry pairs a crystal structure of Pm4SmEr15 with its calculated powder diffraction line list. Radiation: Cu Kα. Structure: a crystal structure in Alexandria, relaxed with PBE.
No peak broadening, texture or thermal motion is included.

The 10 most intense peaks (15 to 90 degrees two-theta), low angle first:
30.9 deg, rel. 100.0, hkl 1 1 5
35.8 deg, rel. 33.9, hkl 2 0 0
36.0 deg, rel. 16.8, hkl 0 0 10
51.6 deg, rel. 12.1, hkl 2 2 0
51.7 deg, rel. 24.0, hkl 2 0 10
61.4 deg, rel. 28.6, hkl 3 1 5
61.6 deg, rel. 14.2, hkl 1 1 15
64.5 deg, rel. 12.3, hkl 2 2 10
84.4 deg, rel. 11.9, hkl 3 1 15
87.0 deg, rel. 11.2, hkl 4 2 0

Cell and atoms:
Cell: 5.012 5.012 24.965 Å, 90.00 90.00 90.00°
Positions (direct):
Pm: 0.000 0.000 0.100
Pm: 0.000 0.000 0.300
Pm: 0.000 0.000 0.700
Pm: 0.000 0.000 0.900
Sm: 0.000 0.000 0.500
Er: 0.000 0.500 0.000
Er: 0.000 0.500 0.200
Er: 0.000 0.500 0.400
Er: 0.000 0.500 0.600
Er: 0.000 0.500 0.800
Er: 0.500 0.000 0.000
Er: 0.500 0.000 0.200
Er: 0.500 0.000 0.400
Er: 0.500 0.000 0.600
Er: 0.500 0.000 0.800
Er: 0.500 0.500 0.100
Er: 0.500 0.500 0.300
Er: 0.500 0.500 0.500
Er: 0.500 0.500 0.700
Er: 0.500 0.500 0.900